No. 1
YBi2F11: calculated X-ray powder pattern (Cu Kα (weighted mean of Kα1 and Kα2)), based on DFT lattice parameters and positions (GGA-PBE).
Kinematic intensities with the Lorentz-polarization factor, no thermal factor.

Top 6 peaks for 15° ≤ 2θ ≤ 90°, low angle first:
| d [Å] | two_theta | intensity | (hkl) |
| --- | --- | --- | --- |
| 5.474 | 16.2 | 63.9 | 0 0 2 |
| 4.169 | 21.3 | 62.1 | 1 1 2 |
| 4.060 | 21.9 | 66.5 | 1 2 1 |
| 3.755 | 23.7 | 60.4 | 0 2 2 |
| 3.609 | 24.7 | 100.0 | 2 1 1 |
| 1.997 | 45.4 | 39.1 | 3 3 2 |

Cell and atoms:
```
data_YBi2F11
_cell_length_a 8.2308
_cell_length_b 10.3212
_cell_length_c 10.9478
_cell_angle_alpha 90.00
_cell_angle_beta 90.00
_cell_angle_gamma 90.00
_symmetry_space_group_name_H-M 'I b a m'
_symmetry_Int_Tables_number 72
_symmetry_space_group_name_Hall '-I 2 2c'
loop_
_atom_site_label
_atom_site_fract_x
_atom_site_fract_y
_atom_site_fract_z
Y1 0.0000 0.0000 0.2500
Bi1 0.1454 0.3185 0.0000
F1 0.0000 0.5000 0.0000
F2 0.0988 0.1780 0.1438
F3 0.1310 0.2861 0.5000
F4 0.2175 0.0700 0.3646
```

***

No. 2
Y2BiF11: calculated X-ray powder pattern (Cu Kα (weighted mean of Kα1 and Kα2)), based on DFT lattice parameters and positions (GGA-PBE).
Kinematic intensities with the Lorentz-polarization factor, no thermal factor.

Top 6 peaks for 15° ≤ 2θ ≤ 90°, low angle first:
| d [Å] | two_theta | intensity | (hkl) |
| --- | --- | --- | --- |
| 4.139 | 21.5 | 100.0 | 1 1 2 |
| 3.753 | 23.7 | 52.7 | 0 2 2 |
| 3.162 | 28.2 | 28.0 | 1 3 0 |
| 2.069 | 43.8 | 38.6 | 1 3 4 |
| 1.969 | 46.1 | 22.8 | 3 3 2 |
| 1.881 | 48.4 | 22.6 | 4 0 2 |

Cell and atoms:
```
data_Y2BiF11
_cell_length_a 8.0183
_cell_length_b 10.3182
_cell_length_c 10.9384
_cell_angle_alpha 90.00
_cell_angle_beta 90.00
_cell_angle_gamma 90.00
_symmetry_space_group_name_H-M 'I b a m'
_symmetry_Int_Tables_number 72
_symmetry_space_group_name_Hall '-I 2 2c'
loop_
_atom_site_label
_atom_site_fract_x
_atom_site_fract_y
_atom_site_fract_z
Y1 0.1363 0.1818 0.0000
Bi1 0.0000 0.5000 0.2500
F1 0.0000 0.0000 0.0000
F2 0.0931 0.3345 0.1509
F3 0.1284 0.2218 0.5000
F4 0.2078 0.4360 0.3582
```

***

No. 3
ZnBiF5: calculated X-ray powder pattern (Cu Kα (weighted mean of Kα1 and Kα2)), based on DFT lattice parameters and positions (GGA-PBE).
Kinematic intensities with the Lorentz-polarization factor, no thermal factor.

Top 6 peaks for 15° ≤ 2θ ≤ 90°, low angle first:
| d [Å] | two_theta | intensity | (hkl) |
| --- | --- | --- | --- |
| 5.386 | 16.5 | 55.0 | 0 1 1 |
| 4.260 | 20.9 | 94.7 | 0 0 2 |
| 3.475 | 25.6 | 61.9 | 0 2 0 |
| 3.424 | 26.0 | 100.0 | 1 1 0 |
| 2.669 | 33.6 | 54.0 | 1 1 2 |
| 1.808 | 50.5 | 60.7 | 1 1 4 |

Cell and atoms:
```
data_ZnBiF5
_cell_length_a 3.9344
_cell_length_b 6.9508
_cell_length_c 8.5204
_cell_angle_alpha 90.00
_cell_angle_beta 90.00
_cell_angle_gamma 90.00
_symmetry_space_group_name_H-M 'I m m m'
_symmetry_Int_Tables_number 71
_symmetry_space_group_name_Hall '-I 2 2'
loop_
_atom_site_label
_atom_site_fract_x
_atom_site_fract_y
_atom_site_fract_z
Zn1 0.0000 0.0000 0.0000
Bi1 0.0000 0.0000 0.5000
F1 0.0000 0.0000 0.2410
F2 0.0000 0.3089 0.0000
F3 0.0000 0.5000 0.5000
```

***

No. 4
Zn2Bi2F: calculated X-ray powder pattern (Cu Kα (weighted mean of Kα1 and Kα2)), based on DFT lattice parameters and positions (GGA-PBE).
Kinematic intensities with the Lorentz-polarization factor, no thermal factor.

Top 6 peaks for 15° ≤ 2θ ≤ 90°, low angle first:
| d [Å] | two_theta | intensity | (hkl) |
| --- | --- | --- | --- |
| 3.540 | 25.2 | 100.0 | 1 0 1 |
| 3.020 | 29.6 | 31.1 | 1 0 3 |
| 2.430 | 37.0 | 73.5 | 1 0 5 |
| 2.173 | 41.6 | 75.3 | 1 1 4 |
| 1.813 | 50.3 | 28.6 | 2 0 0 |
| 1.453 | 64.1 | 30.2 | 2 1 5 |

Cell and atoms:
```
data_Zn2Bi2F
_cell_length_a 3.6263
_cell_length_b 3.6263
_cell_length_c 16.3655
_cell_angle_alpha 90.00
_cell_angle_beta 90.00
_cell_angle_gamma 90.00
_symmetry_space_group_name_H-M 'I 4/m m m'
_symmetry_Int_Tables_number 139
_symmetry_space_group_name_Hall '-I 4 2'
loop_
_atom_site_label
_atom_site_fract_x
_atom_site_fract_y
_atom_site_fract_z
Zn1 0.0000 0.5000 0.2500
Bi1 0.0000 0.0000 0.1078
F1 0.0000 0.0000 0.5000
```

***

No. 5
FeBi: calculated X-ray powder pattern (Cu Kα (weighted mean of Kα1 and Kα2)), based on DFT lattice parameters and positions (GGA-PBE).
Kinematic intensities with the Lorentz-polarization factor, no thermal factor.

Top 6 peaks for 15° ≤ 2θ ≤ 90°, low angle first:
| d [Å] | two_theta | intensity | (hkl) |
| --- | --- | --- | --- |
| 4.071 | 21.8 | 32.6 | 0 0 2 |
| 3.032 | 29.5 | 100.0 | 1 1 -1 |
| 2.548 | 35.2 | 39.9 | 1 1 2 |
| 2.310 | 39.0 | 54.4 | 2 0 0 |
| 2.088 | 43.3 | 50.0 | 1 1 -3 |
| 1.438 | 64.8 | 23.2 | 3 1 -1 |

Cell and atoms:
```
data_FeBi
_cell_length_a 4.6214
_cell_length_b 4.6200
_cell_length_c 8.1413
_cell_angle_alpha 90.00
_cell_angle_beta 90.10
_cell_angle_gamma 90.00
_symmetry_space_group_name_H-M 'C 1 2/m 1'
_symmetry_Int_Tables_number 12
loop_
_symmetry_equiv_pos_as_xyz
'x,y,z'
'-x,-y,-z'
'-x,y,-z'
'x,-y,z'
'x+1/2,y+1/2,z'
'-x+1/2,-y+1/2,-z'
'-x+1/2,y+1/2,-z'
'x+1/2,-y+1/2,z'
loop_
_atom_site_label
_atom_site_fract_x
_atom_site_fract_y
_atom_site_fract_z
Fe1 0.2500 0.0000 0.0652
Bi1 0.2488 0.0000 0.7111
```

***

No. 6
FeBi: calculated X-ray powder pattern (Cu Kα (weighted mean of Kα1 and Kα2)), based on DFT lattice parameters and positions (GGA-PBE).
Kinematic intensities with the Lorentz-polarization factor, no thermal factor.

Top 6 peaks for 15° ≤ 2θ ≤ 90°, low angle first:
| d [Å] | two_theta | intensity | (hkl) |
| --- | --- | --- | --- |
| 3.314 | 26.9 | 100.0 | 3 1 0 |
| 3.138 | 28.4 | 53.6 | 1 0 1 |
| 2.692 | 33.3 | 30.1 | 2 1 1 |
| 2.395 | 37.6 | 38.1 | 3 0 1 |
| 2.343 | 38.4 | 38.8 | 2 4 0 |
| 2.178 | 41.5 | 93.4 | 2 3 1 |

Cell and atoms:
```
data_FeBi
_cell_length_a 10.4784
_cell_length_b 10.4784
_cell_length_c 3.2893
_cell_angle_alpha 90.00
_cell_angle_beta 90.00
_cell_angle_gamma 90.00
_symmetry_space_group_name_H-M 'I 4/m'
_symmetry_Int_Tables_number 87
_symmetry_space_group_name_Hall '-I 4'
loop_
_atom_site_label
_atom_site_fract_x
_atom_site_fract_y
_atom_site_fract_z
Fe1 0.0794 0.5972 0.0000
Bi1 0.1164 0.2014 0.0000
```

***

No. 7
FeHgBiH: calculated X-ray powder pattern (Cu Kα (weighted mean of Kα1 and Kα2)), based on DFT lattice parameters and positions (GGA-PBE).
Kinematic intensities with the Lorentz-polarization factor, no thermal factor.

Top 6 peaks for 15° ≤ 2θ ≤ 90°, low angle first:
| d [Å] | two_theta | intensity | (hkl) |
| --- | --- | --- | --- |
| 3.836 | 23.2 | 45.6 | 0 0 2 |
| 2.815 | 31.8 | 100.0 | 1 1 0 |
| 2.558 | 35.1 | 18.4 | 0 0 3 |
| 2.273 | 39.7 | 62.7 | 1 1 -2 |
| 2.266 | 39.8 | 58.6 | 2 0 2 |
| 1.625 | 56.6 | 29.9 | 0 2 0 |

Cell and atoms:
```
data_FeHgBiH
_cell_length_a 5.6244
_cell_length_b 3.2530
_cell_length_c 7.6730
_cell_angle_alpha 90.00
_cell_angle_beta 90.27
_cell_angle_gamma 90.00
_symmetry_space_group_name_H-M 'C 1 m 1'
_symmetry_Int_Tables_number 8
loop_
_symmetry_equiv_pos_as_xyz
'x,y,z'
'x,-y,z'
'x+1/2,y+1/2,z'
'x+1/2,-y+1/2,z'
loop_
_atom_site_label
_atom_site_fract_x
_atom_site_fract_y
_atom_site_fract_z
Fe1 0.0000 0.0000 0.0000
Hg1 0.1701 0.5000 0.2961
Bi1 0.1648 0.5000 0.7223
H1 0.3334 0.0000 0.0162
```

***

No. 8
FeSiHgBiH: calculated X-ray powder pattern (Cu Kα (weighted mean of Kα1 and Kα2)), based on DFT lattice parameters and positions (GGA-PBE).
Kinematic intensities with the Lorentz-polarization factor, no thermal factor.

Top 6 peaks for 15° ≤ 2θ ≤ 90°, low angle first:
| d [Å] | two_theta | intensity | (hkl) |
| --- | --- | --- | --- |
| 3.037 | 29.4 | 78.3 | 0 1 -2 |
| 2.957 | 30.2 | 64.1 | 0 1 1 |
| 2.805 | 31.9 | 62.5 | 0 0 3 |
| 2.786 | 32.1 | 100.0 | 1 -1 0 |
| 2.573 | 34.9 | 69.7 | 1 0 1 |
| 2.431 | 37.0 | 34.4 | 1 0 -2 |

Cell and atoms:
```
data_FeSiHgBiH
_cell_length_a 3.0459
_cell_length_b 3.8579
_cell_length_c 8.6550
_cell_angle_alpha 102.32
_cell_angle_beta 90.18
_cell_angle_gamma 113.24
_symmetry_space_group_name_H-M 'P 1'
_symmetry_Int_Tables_number 1
loop_
_symmetry_equiv_pos_as_xyz
'x,y,z'
loop_
_atom_site_label
_atom_site_fract_x
_atom_site_fract_y
_atom_site_fract_z
Fe1 0.0000 0.0000 0.0000
Si1 0.6722 0.3472 0.8847
Hg1 0.6235 0.2555 0.5701
Bi1 0.7697 0.5365 0.2335
H1 0.4139 0.8292 0.9307
```

***

No. 9
FeSiHgBiH: calculated X-ray powder pattern (Cu Kα (weighted mean of Kα1 and Kα2)), based on DFT lattice parameters and positions (GGA-PBE).
Kinematic intensities with the Lorentz-polarization factor, no thermal factor.

Top 6 peaks for 15° ≤ 2θ ≤ 90°, low angle first:
| d [Å] | two_theta | intensity | (hkl) |
| --- | --- | --- | --- |
| 3.071 | 29.1 | 95.8 | 1 0 0 |
| 2.971 | 30.1 | 53.6 | 0 0 3 |
| 2.904 | 30.8 | 48.2 | 1 0 1 |
| 2.529 | 35.5 | 51.5 | 1 0 -2 |
| 2.172 | 41.6 | 65.1 | 1 1 0 |
| 2.135 | 42.3 | 100.0 | 1 0 3 |

Cell and atoms:
```
data_FeSiHgBiH
_cell_length_a 3.0716
_cell_length_b 3.0711
_cell_length_c 8.9136
_cell_angle_alpha 90.00
_cell_angle_beta 90.10
_cell_angle_gamma 90.00
_symmetry_space_group_name_H-M 'P 1 m 1'
_symmetry_Int_Tables_number 6
loop_
_symmetry_equiv_pos_as_xyz
'x,y,z'
'x,-y,z'
loop_
_atom_site_label
_atom_site_fract_x
_atom_site_fract_y
_atom_site_fract_z
Fe1 0.0000 0.0000 0.0000
Si1 0.4995 0.5000 0.8968
Hg1 0.5035 0.5000 0.2232
Bi1 0.4970 0.5000 0.5803
H1 0.9998 0.0000 0.8298
```

***

No. 10
Fe3BiI9: calculated X-ray powder pattern (Cu Kα (weighted mean of Kα1 and Kα2)), based on DFT lattice parameters and positions (GGA-PBE).
Kinematic intensities with the Lorentz-polarization factor, no thermal factor.

Top 6 peaks for 15° ≤ 2θ ≤ 90°, low angle first:
| d [Å] | two_theta | intensity | (hkl) |
| --- | --- | --- | --- |
| 3.785 | 23.5 | 45.4 | 0 2 2 |
| 3.755 | 23.7 | 66.8 | 5 1 -2 |
| 3.624 | 24.6 | 58.2 | 2 0 2 |
| 3.479 | 25.6 | 100.0 | 2 2 -3 |
| 3.394 | 26.3 | 45.5 | 3 1 -4 |
| 3.120 | 28.6 | 42.0 | 4 2 0 |

Cell and atoms:
```
data_Fe3BiI9
_cell_length_a 20.2670
_cell_length_b 10.2175
_cell_length_c 14.4945
_cell_angle_alpha 90.00
_cell_angle_beta 128.97
_cell_angle_gamma 90.00
_symmetry_space_group_name_H-M 'C 1 c 1'
_symmetry_Int_Tables_number 9
loop_
_symmetry_equiv_pos_as_xyz
'x,y,z'
'x,-y,z+1/2'
'x+1/2,y+1/2,z'
'x+1/2,-y+1/2,z+1/2'
loop_
_atom_site_label
_atom_site_fract_x
_atom_site_fract_y
_atom_site_fract_z
Fe1 0.0000 0.0747 0.0000
Fe2 0.0890 0.3828 0.8831
Fe3 0.3717 0.0746 0.5448
Bi1 0.2302 0.2723 0.7110
I1 0.0773 0.1128 0.6562
I2 0.0807 0.4320 0.4980
I3 0.1207 0.1630 0.9964
I4 0.2144 0.4310 0.8814
I5 0.2391 0.1722 0.5098
I6 0.3319 0.0100 0.8468
I7 0.3740 0.4906 0.7899
I8 0.4326 0.1316 0.1848
I9 0.4855 0.2598 0.6269
```

***

No. 11
InFeBiPd2: calculated X-ray powder pattern (Cu Kα (weighted mean of Kα1 and Kα2)), based on DFT lattice parameters and positions (GGA-PBE).
Kinematic intensities with the Lorentz-polarization factor, no thermal factor.

Top 6 peaks for 15° ≤ 2θ ≤ 90°, low angle first:
| d [Å] | two_theta | intensity | (hkl) |
| --- | --- | --- | --- |
| 3.465 | 25.7 | 86.1 | 1 0 1 |
| 2.839 | 31.5 | 100.0 | 1 1 1 |
| 2.477 | 36.3 | 92.2 | 2 0 0 |
| 2.425 | 37.1 | 43.4 | 0 0 2 |
| 2.015 | 45.0 | 39.9 | 2 1 1 |
| 1.733 | 52.8 | 61.9 | 2 0 2 |

Cell and atoms:
```
data_InFeBiPd2
_cell_length_a 4.9531
_cell_length_b 4.9531
_cell_length_c 4.8493
_cell_angle_alpha 90.00
_cell_angle_beta 90.00
_cell_angle_gamma 90.00
_symmetry_space_group_name_H-M 'P 4/m m m'
_symmetry_Int_Tables_number 123
_symmetry_space_group_name_Hall '-P 4 2'
loop_
_atom_site_label
_atom_site_fract_x
_atom_site_fract_y
_atom_site_fract_z
In1 0.0000 0.0000 0.0000
Fe1 0.0000 0.0000 0.5000
Bi1 0.5000 0.5000 0.5000
Pd1 0.0000 0.5000 0.0000
```